Record 1
Sr2CuSe2Cl2O6: calculated powder XRD pattern (Cu Ka), based on a structure optimized by DFT (GGA-PBE).
Lines closer than 0.1° are merged.

Cell and atoms:
```
Sr2CuSe2Cl2O6
1.0
5.2686 0.0000 0.0000
0.0000 6.6179 0.0000
-4.9497 0.0000 12.5903
Sr Cu Se Cl O
4 2 4 4 12
direct
0.2188 0.2173 0.2319
0.2188 0.2827 0.7319
0.7812 0.7173 0.2681
0.7812 0.7827 0.7681
0.5000 0.0000 0.0000
0.5000 0.5000 0.5000
0.0779 0.7458 0.0735
0.0779 0.7542 0.5735
0.9221 0.2458 0.4265
0.9221 0.2542 0.9265
0.4174 0.6438 0.8851
0.4174 0.8562 0.3851
0.5826 0.1438 0.6149
0.5826 0.3562 0.1149
0.1241 0.0705 0.8958
0.1241 0.4295 0.3958
0.1424 0.5942 0.1808
0.1424 0.9058 0.6808
0.3780 0.6092 0.6136
0.3780 0.8908 0.1136
0.6220 0.1092 0.8864
0.6220 0.3908 0.3864
0.8576 0.0942 0.3192
0.8576 0.4058 0.8192
0.8759 0.5705 0.6042
0.8759 0.9295 0.1042
```

Most intense lines, 2θ = 10–90°, low angle first:
| 2θ (°) | I (rel.) | h k l |
| --- | --- | --- |
| 15.1 | 19 | 0 1 1 |
| 26.9 | 26 | 0 2 0 |
| 30.1 | 100 | 1 1 2 |
| 30.7 | 94 | 1 1 -4 |
| 31.5 | 30 | 0 1 4 |
| 32.6 | 27 | 1 2 0 |
| 32.8 | 27 | 1 2 -2 |
| 34.0 | 51 | 2 0 -2 |
| 43.9 | 21 | 2 2 -2 |
| 51.6 | 19 | 0 2 6 |

---

Record 2
Ba3LiTi3O8: calculated powder XRD pattern (Cu Ka), based on a structure optimized by DFT (GGA-PBE).
Lines closer than 0.1° are merged.

Cell and atoms:
```
Ba3LiTi3O8
1.0
5.8706 0.0000 0.0000
-2.8729 5.1420 0.0000
-0.2884 -1.9118 7.5652
Ba Li Ti O
3 1 3 8
direct
0.0000 0.0000 0.0000
0.2509 0.4844 0.4391
0.6223 0.2396 0.7431
0.7771 0.5352 0.1691
0.2955 0.5976 0.8977
0.5333 0.0758 0.2916
0.9484 0.8600 0.5568
0.0156 0.5070 0.0220
0.1150 0.7508 0.7086
0.1251 0.2475 0.7133
0.2078 0.9670 0.3683
0.4993 0.9973 0.0446
0.5145 0.5249 0.0137
0.7099 0.9464 0.4026
0.7192 0.4449 0.3921
```

Most intense lines, 2θ = 10–90°, low angle first:
| 2θ (°) | I (rel.) | h k l |
| --- | --- | --- |
| 20.2 | 18 | 1 -1 1 |
| 23.7 | 20 | 0 1 1 |
| 25.8 | 27 | 0 1 -2 |
| 30.4 | 84 | 2 -1 0 |
| 30.9 | 100 | -1 1 2 |
| 31.0 | 24 | 1 -2 0 |
| 31.6 | 38 | 1 0 2 |
| 35.7 | 26 | 0 1 -3 |
| 46.7 | 17 | 2 0 -3 |
| 53.9 | 17 | 1 -3 3 |